Record 1
This entry pairs a crystal structure of PtS with its calculated X-ray powder pattern. Radiation: CuKα. Structure: the GGA-PBE geometry in the Materials Project.
Lines closer than 0.1° are merged.

Crystal structure
```
PtS
1.0
3.534 0.000 0.000
0.000 3.534 0.000
0.000 0.000 6.122
Pt S
2 2
direct
0.000 0.500 0.000
0.500 0.000 0.500
0.000 0.000 0.250
0.000 0.000 0.750
```

Most intense lines, 2θ = 10–90°, sorted by position:
| Position (°2θ) | I/Imax | hkl |
| --- | --- | --- |
| 25.20 | 2 | 1 0 0 |
| 29.18 | 100 | 1 0 1 |
| 35.94 | 17 | 1 1 0 |
| 46.94 | 32 | 1 1 2 |
| 51.73 | 30 | 2 0 0 |
| 60.50 | 34 | 0 0 4 |
| 72.40 | 5 | 1 1 4 |
| 76.19 | 15 | 2 2 0 |
| 83.57 | 19 | 2 0 4 |
| 87.23 | 3 | 3 1 0 |

Record 2
This entry pairs a crystal structure of PtSeS with its calculated X-ray powder pattern. Radiation: CuKα. Structure: the GGA-PBE geometry in the Materials Project.
Lines closer than 0.1° are merged.

Crystal structure
```
PtSeS
1.0
3.682 0.000 0.000
-1.841 3.189 0.000
0.000 0.000 5.426
Pt Se S
1 1 1
direct
0.000 0.000 0.000
0.667 0.333 0.754
0.333 0.667 0.222
```

Most intense lines, 2θ = 10–90°, sorted by position:
| Position (°2θ) | I/Imax | hkl |
| --- | --- | --- |
| 16.34 | 81 | 0 0 1 |
| 27.98 | 32 | 1 0 0 |
| 32.57 | 100 | 0 1 1 |
| 43.81 | 61 | 0 1 2 |
| 49.50 | 31 | 1 1 0 |
| 52.48 | 24 | 1 1 1 |
| 58.68 | 21 | 1 0 3 |
| 60.52 | 17 | 2 0 1 |
| 68.22 | 17 | 2 0 2 |
| 88.83 | 17 | 1 2 2 |

Record 3
This entry pairs a crystal structure of Pt4SeS3 with its calculated X-ray powder pattern. Radiation: CuKα. Structure: the GGA-PBE geometry in the Materials Project.
Lines closer than 0.1° are merged.

Crystal structure
```
Pt4SeS3
1.0
3.581 0.000 0.000
0.000 3.581 0.000
0.000 0.000 12.406
Pt Se S
4 1 3
direct
0.000 0.500 0.122
0.000 0.500 0.633
0.500 0.000 0.367
0.500 0.000 0.878
0.000 0.000 0.500
0.000 0.000 0.000
0.000 0.000 0.244
0.000 0.000 0.756
```

Most intense lines, 2θ = 10–90°, sorted by position:
| Position (°2θ) | I/Imax | hkl |
| --- | --- | --- |
| 24.87 | 4 | 1 0 0 |
| 28.79 | 100 | 1 0 2 |
| 35.46 | 15 | 1 1 0 |
| 38.40 | 3 | 1 0 4 |
| 46.29 | 36 | 1 1 4 |
| 51.01 | 31 | 2 0 0 |
| 59.63 | 34 | 0 0 8 |
| 71.32 | 4 | 1 1 8 |
| 75.03 | 16 | 2 2 0 |
| 82.25 | 18 | 2 0 8 |